(1)
Structure and theoretical X-ray diffraction stick pattern of Ag4HgTe5 (a crystal structure in Alexandria, relaxed with PBE; λ = 1.5418 Å (Cu Kα)).

Main lines, in order of rising 2θ (2θ = 10–90°):
2θ/deg	I_rel
24.1	100
25.3	34
28.6	54
32.3	23
33.5	26
38.7	20
42.2	19
42.4	23
43.1	23
49.4	20

Structural model:
Cell: 8.9998 6.4851 13.7897 Å, 90.00 129.18 90.00°
Fractional positions:
Ag 0.1436 0.0368 0.2106
Ag 0.1436 0.9632 0.7106
Ag 0.2150 0.3862 0.9761
Ag 0.2150 0.6138 0.4761
Ag 0.7850 0.3862 0.5239
Ag 0.7850 0.6138 0.0239
Ag 0.8564 0.0368 0.2894
Ag 0.8564 0.9632 0.7894
Hg 0.5000 0.3820 0.2500
Hg 0.5000 0.6180 0.7500
Te 0.0000 0.3796 0.2500
Te 0.0000 0.6204 0.7500
Te 0.0721 0.2275 0.5207
Te 0.0721 0.7725 0.0207
Te 0.4221 0.1743 0.9228
Te 0.4221 0.8257 0.4228
Te 0.5779 0.1743 0.5772
Te 0.5779 0.8257 0.0772
Te 0.9279 0.2275 0.9793
Te 0.9279 0.7725 0.4793

(2)
Structure and theoretical X-ray diffraction stick pattern of La6Cd5Si (a crystal structure in Alexandria, relaxed with PBE; λ = 1.5418 Å (Cu Kα)).

Main lines, in order of rising 2θ (2θ = 10–90°):
2θ/deg	I_rel
32.2	24
32.6	100
32.8	26
46.7	17
46.8	9
57.7	15
58.0	8
58.4	27
68.2	10
77.7	7

Structural model:
Cell: 8.7666 8.7666 7.7676 Å, 90.00 90.00 143.71°
Fractional positions:
La 0.0000 0.0000 0.2269
La 0.0000 0.0000 0.7731
La 0.3445 0.6555 0.2402
La 0.3445 0.6555 0.7598
La 0.6555 0.3445 0.2402
La 0.6555 0.3445 0.7598
Cd 0.1722 0.8278 0.5000
Cd 0.1814 0.8186 0.0000
Cd 0.5000 0.5000 0.5000
Cd 0.8186 0.1814 0.0000
Cd 0.8278 0.1722 0.5000
Si 0.5000 0.5000 0.0000

(3)
Structure and theoretical X-ray diffraction stick pattern of LaS4Br (a crystal structure in Alexandria, relaxed with PBE; λ = 1.5418 Å (Cu Kα)).

Main lines, in order of rising 2θ (2θ = 10–90°):
2θ/deg	I_rel
14.1	100
15.1	40
19.8	22
20.4	33
24.0	33
27.9	57
29.1	49
30.8	24
31.8	23
36.1	36

Structural model:
Cell: 4.7184 5.8871 12.6296 Å, 85.89 87.60 89.03°
Fractional positions:
La 0.2406 0.3841 0.2476
La 0.7594 0.6159 0.7524
S 0.0260 0.7637 0.9364
S 0.1165 0.4419 0.5696
S 0.2131 0.4763 0.8939
S 0.2499 0.7460 0.6191
S 0.7501 0.2540 0.3809
S 0.7869 0.5237 0.1061
S 0.8835 0.5581 0.4304
S 0.9740 0.2363 0.0636
Br 0.4051 0.8822 0.2502
Br 0.5949 0.1178 0.7498

(4)
Structure and theoretical X-ray diffraction stick pattern of B7C5 (a crystal structure in Alexandria, relaxed with PBE; λ = 1.5418 Å (Cu Kα)).

Main lines, in order of rising 2θ (2θ = 10–90°):
2θ/deg	I_rel
11.1	100
22.3	77
29.0	8
33.8	14
40.2	28
40.8	9
42.1	9
44.6	7
45.6	13
69.6	6

Structural model:
Cell: 4.5360 2.7010 7.9761 Å, 90.00 93.20 90.00°
Fractional positions:
B 0.0000 0.0000 0.0000
B 0.0059 0.5000 0.1203
B 0.1340 0.0000 0.7919
B 0.2805 0.5000 0.3272
B 0.3556 0.0000 0.1017
B 0.6680 0.5000 0.9979
B 0.7651 0.0000 0.8039
C 0.2847 0.5000 0.7744
C 0.4539 0.0000 0.3146
C 0.5995 0.5000 0.7918
C 0.7718 0.0000 0.3350
C 0.9329 0.5000 0.3275

(5)
Structure and theoretical X-ray diffraction stick pattern of FeCoBr5 (a crystal structure in Alexandria, relaxed with PBE; λ = 1.5418 Å (Cu Kα)).

Main lines, in order of rising 2θ (2θ = 10–90°):
2θ/deg	I_rel
10.7	73
16.5	89
18.9	100
20.4	50
26.6	42
28.4	66
28.8	65
35.5	50
39.1	45
46.9	37

Structural model:
Cell: 16.4984 7.3291 9.0229 Å, 90.00 90.00 90.00°
Fractional positions:
Fe 0.1439 0.2500 0.0542
Fe 0.3561 0.7500 0.5542
Fe 0.6439 0.2500 0.4458
Fe 0.8561 0.7500 0.9458
Co 0.0076 0.7500 0.3228
Co 0.4924 0.2500 0.8228
Co 0.5076 0.7500 0.1772
Co 0.9924 0.2500 0.6772
Br 0.0000 0.0000 0.5000
Br 0.0000 0.5000 0.5000
Br 0.0840 0.5240 0.1385
Br 0.0840 0.9760 0.1385
Br 0.1283 0.2500 0.7829
Br 0.2186 0.7500 0.5945
Br 0.2814 0.2500 0.0945
Br 0.3717 0.7500 0.2829
Br 0.4160 0.0240 0.6385
Br 0.4160 0.4760 0.6385
Br 0.5000 0.0000 0.0000
Br 0.5000 0.5000 0.0000
Br 0.5840 0.5240 0.3615
Br 0.5840 0.9760 0.3615
Br 0.6283 0.2500 0.7171
Br 0.7186 0.7500 0.9055
Br 0.7814 0.2500 0.4055
Br 0.8717 0.7500 0.2171
Br 0.9160 0.0240 0.8615
Br 0.9160 0.4760 0.8615

(6)
Structure and theoretical X-ray diffraction stick pattern of LaNdY2Ho5 (a crystal structure in Alexandria, relaxed with PBE; λ = 1.5418 Å (Cu Kα)).

Main lines, in order of rising 2θ (2θ = 10–90°):
2θ/deg	I_rel
28.7	88
31.0	100
32.2	13
37.3	20
42.8	18
46.1	14
47.6	13
52.3	22
56.5	18
58.6	11

Structural model:
Cell: 9.8576 9.8576 9.8576 Å, 126.97 126.97 78.30°
Fractional positions:
La 0.2500 0.2500 0.0000
La 0.7500 0.7500 0.0000
Nd 0.2500 0.7500 0.5000
Nd 0.7500 0.2500 0.5000
Y 0.1168 0.6168 0.7337
Y 0.3832 0.1168 0.5000
Y 0.6168 0.8832 0.5000
Y 0.8832 0.3832 0.2663
Ho 0.0000 0.0000 0.0000
Ho 0.0701 0.1617 0.5000
Ho 0.1617 0.6617 0.0916
Ho 0.3383 0.4299 0.5000
Ho 0.4299 0.9299 0.0916
Ho 0.5000 0.5000 0.0000
Ho 0.5701 0.0701 0.9084
Ho 0.6617 0.5701 0.5000
Ho 0.8383 0.3383 0.9084
Ho 0.9299 0.8383 0.5000

What did the sixth record say?
Structure and theoretical X-ray diffraction stick pattern of LaNdY2Ho5 (a crystal structure in Alexandria, relaxed with PBE; λ = 1.5418 Å (Cu Kα)).

Main lines, in order of rising 2θ (2θ = 10–90°):
2θ/deg	I_rel
28.7	88
31.0	100
32.2	13
37.3	20
42.8	18
46.1	14
47.6	13
52.3	22
56.5	18
58.6	11

Structural model:
Cell: 9.8576 9.8576 9.8576 Å, 126.97 126.97 78.30°
Fractional positions:
La 0.2500 0.2500 0.0000
La 0.7500 0.7500 0.0000
Nd 0.2500 0.7500 0.5000
Nd 0.7500 0.2500 0.5000
Y 0.1168 0.6168 0.7337
Y 0.3832 0.1168 0.5000
Y 0.6168 0.8832 0.5000
Y 0.8832 0.3832 0.2663
Ho 0.0000 0.0000 0.0000
Ho 0.0701 0.1617 0.5000
Ho 0.1617 0.6617 0.0916
Ho 0.3383 0.4299 0.5000
Ho 0.4299 0.9299 0.0916
Ho 0.5000 0.5000 0.0000
Ho 0.5701 0.0701 0.9084
Ho 0.6617 0.5701 0.5000
Ho 0.8383 0.3383 0.9084
Ho 0.9299 0.8383 0.5000